TlSnHgBi: calculated powder diffractogram (Cu Kα), based on the PBE geometry in Alexandria.
Neutral-atom scattering factors, no anomalous dispersion.

Peak list (10 most intense, 2θ from 5° to 70°, by intensity)
two_theta, d/Å, I_rel, index
31.9, 2.808, 100, 1 0 2
33.7, 2.657, 44, 1 1 0
59.2, 1.562, 36, 2 1 2
55.6, 1.653, 19, 1 1 4
48.4, 1.879, 16, 2 0 0
66.6, 1.404, 11, 2 0 4
42.8, 2.112, 10, 0 0 4
25.9, 3.434, 5, 1 0 1
47.0, 1.933, 3, 1 1 3
60.0, 1.541, 3, 1 0 5

Atomic structure:
Cell lengths 3.7582, 3.7582, 8.4463 Å; angles 90.00, 90.00, 90.00 degrees
Space group P4mm (No. 99)
Symmetry-distinct sites (fractional):
Tl: 0.0000 0.0000 0.0000 [1 per cell]
Sn: 0.0000 0.0000 0.5130 [1 per cell]
Hg: 0.5000 0.5000 0.7479 [1 per cell]
Bi: 0.5000 0.5000 0.2836 [1 per cell]